1.
Starting from a crystal structure in Alexandria, relaxed with GGA-PBE, the powder XRD pattern of PmY7Er2 was calculated for Cu Kα, 1.54184 Å.

Cell and atoms:
```
data_PmY7Er2
_cell_length_a 15.178
_cell_length_b 15.178
_cell_length_c 3.522
_cell_angle_alpha 90.18
_cell_angle_beta 90.18
_cell_angle_gamma 156.54
_symmetry_space_group_name_H-M 'P 1'
_symmetry_Int_Tables_number 1
loop_
_symmetry_equiv_pos_as_xyz
'x,y,z'
loop_
_atom_site_label
_atom_site_type_symbol
_atom_site_fract_x
_atom_site_fract_y
_atom_site_fract_z
Pm1 Pm 0.000 0.000 0.000
Y1 Y 0.155 0.357 0.226
Y2 Y 0.292 0.708 0.000
Y3 Y 0.357 0.155 0.226
Y4 Y 0.500 0.500 0.500
Y5 Y 0.643 0.845 0.774
Y6 Y 0.708 0.292 0.000
Y7 Y 0.845 0.643 0.774
Er1 Er 0.192 0.808 0.500
Er2 Er 0.808 0.192 0.500
```

Most intense lines, 2θ from 15° to 90°, by intensity:
| d/Å | 2θ/deg | I/Imax |
| --- | --- | --- |
| 2.905 | 30.78 | 100 |
| 2.972 | 30.07 | 92 |
| 2.850 | 31.39 | 66 |
| 2.619 | 34.24 | 62 |
| 2.472 | 36.34 | 61 |
| 2.734 | 32.76 | 51 |
| 2.940 | 30.40 | 49 |
| 1.760 | 51.95 | 30 |
| 2.492 | 36.04 | 26 |
| 3.062 | 29.16 | 24 |

***

2.
Starting from a crystal structure in Alexandria, relaxed with GGA-PBE, the powder XRD pattern of LiY2PbO6 was calculated for Cu Kα, 1.54184 Å.

Cell and atoms:
```
data_LiY2PbO6
_cell_length_a 6.057
_cell_length_b 6.057
_cell_length_c 6.057
_cell_angle_alpha 56.15
_cell_angle_beta 56.15
_cell_angle_gamma 56.15
_symmetry_space_group_name_H-M 'P 1'
_symmetry_Int_Tables_number 1
loop_
_symmetry_equiv_pos_as_xyz
'x,y,z'
loop_
_atom_site_label
_atom_site_type_symbol
_atom_site_fract_x
_atom_site_fract_y
_atom_site_fract_z
Li1 Li 0.000 0.000 0.000
Y1 Y 0.223 0.223 0.223
Y2 Y 0.724 0.724 0.724
Pb1 Pb 0.514 0.514 0.514
O1 O 0.134 0.413 0.809
O2 O 0.319 0.904 0.626
O3 O 0.413 0.809 0.134
O4 O 0.626 0.319 0.904
O5 O 0.809 0.134 0.413
O6 O 0.904 0.626 0.319
```

Most intense lines, 2θ from 15° to 90°, by intensity:
| d/Å | 2θ/deg | I/Imax |
| --- | --- | --- |
| 4.697 | 18.89 | 100 |
| 3.018 | 29.60 | 93 |
| 2.850 | 31.39 | 87 |
| 2.486 | 36.13 | 48 |
| 1.897 | 47.95 | 44 |
| 5.085 | 17.44 | 41 |
| 2.072 | 43.68 | 39 |
| 1.676 | 54.77 | 38 |
| 1.646 | 55.87 | 31 |
| 4.144 | 21.44 | 26 |

***

3.
Starting from a crystal structure in Alexandria, relaxed with GGA-PBE, the powder XRD pattern of Pm8Pr4Cd was calculated for Cu Kα, 1.54184 Å.

Cell and atoms:
```
data_Pm8Pr4Cd
_cell_length_a 7.807
_cell_length_b 7.807
_cell_length_c 7.807
_cell_angle_alpha 97.44
_cell_angle_beta 97.44
_cell_angle_gamma 97.44
_symmetry_space_group_name_H-M 'P 1'
_symmetry_Int_Tables_number 1
loop_
_symmetry_equiv_pos_as_xyz
'x,y,z'
loop_
_atom_site_label
_atom_site_type_symbol
_atom_site_fract_x
_atom_site_fract_y
_atom_site_fract_z
Pm1 Pm 0.164 0.164 0.666
Pm2 Pm 0.164 0.666 0.164
Pm3 Pm 0.243 0.243 0.243
Pm4 Pm 0.334 0.836 0.836
Pm5 Pm 0.666 0.164 0.164
Pm6 Pm 0.757 0.757 0.757
Pm7 Pm 0.836 0.334 0.836
Pm8 Pm 0.836 0.836 0.334
Pr1 Pr 0.000 0.000 0.000
Pr2 Pr 0.000 0.500 0.500
Pr3 Pr 0.500 0.000 0.500
Pr4 Pr 0.500 0.500 0.000
Cd1 Cd 0.500 0.500 0.500
```

Most intense lines, 2θ from 15° to 90°, by intensity:
| d/Å | 2θ/deg | I/Imax |
| --- | --- | --- |
| 2.933 | 30.47 | 100 |
| 2.340 | 38.47 | 52 |
| 3.881 | 22.92 | 33 |
| 1.694 | 54.15 | 20 |
| 1.618 | 56.90 | 16 |
| 3.237 | 27.56 | 15 |
| 1.552 | 59.56 | 15 |
| 1.467 | 63.42 | 12 |
| 1.109 | 88.10 | 10 |
| 1.372 | 68.37 | 10 |

***

4.
Starting from a crystal structure in Alexandria, relaxed with GGA-PBE, the powder XRD pattern of USnSe4 was calculated for Cu Kα, 1.54184 Å.

Cell and atoms:
```
data_USnSe4
_cell_length_a 7.022
_cell_length_b 6.916
_cell_length_c 6.863
_cell_angle_alpha 90.00
_cell_angle_beta 91.51
_cell_angle_gamma 90.00
_symmetry_space_group_name_H-M 'P 1'
_symmetry_Int_Tables_number 1
loop_
_symmetry_equiv_pos_as_xyz
'x,y,z'
loop_
_atom_site_label
_atom_site_type_symbol
_atom_site_fract_x
_atom_site_fract_y
_atom_site_fract_z
U1 U 0.000 0.000 0.000
U2 U 0.000 0.500 0.500
Sn1 Sn 0.500 0.000 0.500
Sn2 Sn 0.500 0.500 0.000
Se1 Se 0.141 0.158 0.662
Se2 Se 0.141 0.342 0.162
Se3 Se 0.338 0.634 0.625
Se4 Se 0.338 0.866 0.125
Se5 Se 0.662 0.134 0.875
Se6 Se 0.662 0.366 0.375
Se7 Se 0.859 0.658 0.838
Se8 Se 0.859 0.842 0.338
```

Most intense lines, 2θ from 15° to 90°, by intensity:
| d/Å | 2θ/deg | I/Imax |
| --- | --- | --- |
| 2.093 | 43.23 | 100 |
| 4.037 | 22.02 | 99 |
| 3.967 | 22.41 | 86 |
| 2.089 | 43.31 | 53 |
| 2.435 | 36.91 | 47 |
| 2.463 | 36.48 | 47 |
| 2.125 | 42.55 | 43 |
| 2.819 | 31.74 | 39 |
| 2.081 | 43.48 | 38 |
| 3.130 | 28.52 | 37 |

***

5.
Starting from a crystal structure in Alexandria, relaxed with GGA-PBE, the powder XRD pattern of NdReBrO4 was calculated for Cu Kα, 1.54184 Å.

Cell and atoms:
```
data_NdReBrO4
_cell_length_a 6.569
_cell_length_b 6.569
_cell_length_c 7.147
_cell_angle_alpha 102.28
_cell_angle_beta 102.28
_cell_angle_gamma 67.62
_symmetry_space_group_name_H-M 'P 1'
_symmetry_Int_Tables_number 1
loop_
_symmetry_equiv_pos_as_xyz
'x,y,z'
loop_
_atom_site_label
_atom_site_type_symbol
_atom_site_fract_x
_atom_site_fract_y
_atom_site_fract_z
Nd1 Nd 0.226 0.226 0.109
Nd2 Nd 0.774 0.774 0.891
Re1 Re 0.369 0.369 0.722
Re2 Re 0.631 0.631 0.278
Br1 Br 0.010 0.010 0.754
Br2 Br 0.990 0.990 0.246
O1 O 0.128 0.479 0.857
O2 O 0.294 0.294 0.472
O3 O 0.465 0.465 0.213
O4 O 0.479 0.128 0.857
O5 O 0.521 0.872 0.143
O6 O 0.535 0.535 0.787
O7 O 0.706 0.706 0.528
O8 O 0.872 0.521 0.143
```

Most intense lines, 2θ from 15° to 90°, by intensity:
| d/Å | 2θ/deg | I/Imax |
| --- | --- | --- |
| 3.655 | 24.35 | 100 |
| 3.171 | 28.14 | 81 |
| 3.755 | 23.69 | 55 |
| 2.661 | 33.68 | 44 |
| 3.203 | 27.85 | 38 |
| 2.619 | 34.24 | 30 |
| 3.454 | 25.79 | 26 |
| 2.003 | 45.26 | 25 |
| 2.053 | 44.12 | 22 |
| 2.511 | 35.77 | 20 |

***

6.
Starting from a crystal structure in Alexandria, relaxed with GGA-PBE, the powder XRD pattern of Ho4ScTe2 was calculated for Cu Kα, 1.54184 Å.

Cell and atoms:
```
data_Ho4ScTe2
_cell_length_a 9.913
_cell_length_b 7.314
_cell_length_c 9.066
_cell_angle_alpha 73.61
_cell_angle_beta 45.06
_cell_angle_gamma 61.33
_symmetry_space_group_name_H-M 'P 1'
_symmetry_Int_Tables_number 1
loop_
_symmetry_equiv_pos_as_xyz
'x,y,z'
loop_
_atom_site_label
_atom_site_type_symbol
_atom_site_fract_x
_atom_site_fract_y
_atom_site_fract_z
Ho1 Ho 0.029 0.485 0.680
Ho2 Ho 0.172 0.828 0.265
Ho3 Ho 0.444 0.570 0.765
Ho4 Ho 0.485 0.029 0.806
Ho5 Ho 0.515 0.985 0.422
Ho6 Ho 0.570 0.444 0.221
Ho7 Ho 0.828 0.172 0.735
Ho8 Ho 0.985 0.515 0.078
Sc1 Sc 0.052 0.052 0.948
Sc2 Sc 0.302 0.302 0.198
Te1 Te 0.197 0.767 0.636
Te2 Te 0.614 0.850 0.053
Te3 Te 0.767 0.197 0.400
Te4 Te 0.850 0.614 0.483
```

Most intense lines, 2θ from 15° to 90°, by intensity:
| d/Å | 2θ/deg | I/Imax |
| --- | --- | --- |
| 2.949 | 30.31 | 100 |
| 2.624 | 34.17 | 82 |
| 2.899 | 30.85 | 75 |
| 2.759 | 32.46 | 61 |
| 3.801 | 23.40 | 60 |
| 2.380 | 37.80 | 50 |
| 2.422 | 37.13 | 46 |
| 2.330 | 38.64 | 39 |
| 2.301 | 39.15 | 37 |
| 3.195 | 27.93 | 32 |

***

7.
Starting from a crystal structure in Alexandria, relaxed with GGA-PBE, the powder XRD pattern of Pd2RuRh2 was calculated for Cu Kα, 1.54184 Å.

Cell and atoms:
```
data_Pd2RuRh2
_cell_length_a 2.729
_cell_length_b 2.729
_cell_length_c 11.297
_cell_angle_alpha 90.00
_cell_angle_beta 90.00
_cell_angle_gamma 120.00
_symmetry_space_group_name_H-M 'P 1'
_symmetry_Int_Tables_number 1
loop_
_symmetry_equiv_pos_as_xyz
'x,y,z'
loop_
_atom_site_label
_atom_site_type_symbol
_atom_site_fract_x
_atom_site_fract_y
_atom_site_fract_z
Pd1 Pd 0.333 0.667 0.105
Pd2 Pd 0.667 0.333 0.895
Ru1 Ru 0.000 0.000 0.500
Rh1 Rh 0.333 0.667 0.690
Rh2 Rh 0.667 0.333 0.310
```

Most intense lines, 2θ from 15° to 90°, by intensity:
| d/Å | 2θ/deg | I/Imax |
| --- | --- | --- |
| 2.180 | 41.41 | 100 |
| 2.002 | 45.30 | 57 |
| 2.259 | 39.90 | 42 |
| 1.168 | 82.59 | 30 |
| 2.314 | 38.93 | 26 |
| 1.365 | 68.79 | 26 |
| 1.333 | 70.68 | 24 |
| 1.813 | 50.34 | 21 |
| 1.157 | 83.58 | 13 |
| 1.128 | 86.26 | 9 |

***

8.
Starting from a crystal structure in Alexandria, relaxed with GGA-PBE, the powder XRD pattern of AlTcPtN2 was calculated for Cu Kα, 1.54184 Å.

Cell and atoms:
```
data_AlTcPtN2
_cell_length_a 3.751
_cell_length_b 3.751
_cell_length_c 5.543
_cell_angle_alpha 90.00
_cell_angle_beta 90.00
_cell_angle_gamma 90.00
_symmetry_space_group_name_H-M 'P 1'
_symmetry_Int_Tables_number 1
loop_
_symmetry_equiv_pos_as_xyz
'x,y,z'
loop_
_atom_site_label
_atom_site_type_symbol
_atom_site_fract_x
_atom_site_fract_y
_atom_site_fract_z
Al1 Al 0.000 0.000 0.000
Tc1 Tc 0.500 0.500 0.500
Pt1 Pt 0.500 0.500 0.000
N1 N 0.000 0.500 0.500
N2 N 0.500 0.000 0.500
```

Most intense lines, 2θ from 15° to 90°, by intensity:
| d/Å | 2θ/deg | I/Imax |
| --- | --- | --- |
| 3.751 | 23.72 | 100 |
| 2.229 | 40.47 | 50 |
| 2.652 | 33.79 | 49 |
| 2.771 | 32.30 | 39 |
| 1.916 | 47.44 | 39 |
| 1.553 | 59.51 | 26 |
| 1.435 | 64.98 | 25 |
| 1.876 | 48.54 | 25 |
| 1.678 | 54.72 | 21 |
| 2.393 | 37.59 | 18 |

***

9.
Starting from a crystal structure in Alexandria, relaxed with GGA-PBE, the powder XRD pattern of Tl2PdI3 was calculated for Cu Kα, 1.54184 Å.

Cell and atoms:
```
data_Tl2PdI3
_cell_length_a 8.526
_cell_length_b 8.526
_cell_length_c 7.046
_cell_angle_alpha 90.00
_cell_angle_beta 90.00
_cell_angle_gamma 69.62
_symmetry_space_group_name_H-M 'P 1'
_symmetry_Int_Tables_number 1
loop_
_symmetry_equiv_pos_as_xyz
'x,y,z'
loop_
_atom_site_label
_atom_site_type_symbol
_atom_site_fract_x
_atom_site_fract_y
_atom_site_fract_z
Tl1 Tl 0.088 0.651 0.500
Tl2 Tl 0.349 0.912 0.500
Tl3 Tl 0.651 0.088 0.000
Tl4 Tl 0.912 0.349 0.000
Pd1 Pd 0.298 0.702 0.137
Pd2 Pd 0.702 0.298 0.637
I1 I 0.017 0.293 0.518
I2 I 0.293 0.017 0.018
I3 I 0.461 0.539 0.818
I4 I 0.539 0.461 0.318
I5 I 0.707 0.983 0.518
I6 I 0.983 0.707 0.018
```

Most intense lines, 2θ from 15° to 90°, by intensity:
| d/Å | 2θ/deg | I/Imax |
| --- | --- | --- |
| 4.208 | 21.11 | 100 |
| 2.483 | 36.18 | 81 |
| 4.867 | 18.23 | 74 |
| 3.523 | 25.28 | 69 |
| 2.854 | 31.35 | 67 |
| 2.492 | 36.04 | 63 |
| 2.884 | 31.01 | 53 |
| 2.125 | 42.55 | 50 |
| 2.842 | 31.48 | 45 |
| 2.514 | 35.72 | 44 |

***

10.
Starting from a crystal structure in Alexandria, relaxed with GGA-PBE, the powder XRD pattern of Ca2BeBPt6 was calculated for Cu Kα, 1.54184 Å.

Cell and atoms:
```
data_Ca2BeBPt6
_cell_length_a 6.959
_cell_length_b 6.959
_cell_length_c 6.959
_cell_angle_alpha 48.14
_cell_angle_beta 48.14
_cell_angle_gamma 48.14
_symmetry_space_group_name_H-M 'P 1'
_symmetry_Int_Tables_number 1
loop_
_symmetry_equiv_pos_as_xyz
'x,y,z'
loop_
_atom_site_label
_atom_site_type_symbol
_atom_site_fract_x
_atom_site_fract_y
_atom_site_fract_z
Ca1 Ca 0.213 0.213 0.213
Ca2 Ca 0.787 0.787 0.787
Be1 Be 0.500 0.500 0.500
B1 B 0.000 0.000 0.000
Pt1 Pt 0.242 0.242 0.719
Pt2 Pt 0.242 0.719 0.242
Pt3 Pt 0.281 0.758 0.758
Pt4 Pt 0.719 0.242 0.242
Pt5 Pt 0.758 0.281 0.758
Pt6 Pt 0.758 0.758 0.281
```

Most intense lines, 2θ from 15° to 90°, by intensity:
| d/Å | 2θ/deg | I/Imax |
| --- | --- | --- |
| 2.375 | 37.89 | 100 |
| 2.168 | 41.65 | 69 |
| 3.069 | 29.09 | 44 |
| 4.337 | 20.48 | 31 |
| 1.419 | 65.81 | 21 |
| 2.045 | 44.28 | 20 |
| 1.288 | 73.53 | 18 |
| 3.360 | 26.52 | 18 |
| 1.680 | 54.62 | 16 |
| 1.228 | 77.81 | 15 |

***

11.
Starting from a crystal structure in Alexandria, relaxed with GGA-PBE, the powder XRD pattern of Ho2HfIr3 was calculated for Cu Kα, 1.54184 Å.

Cell and atoms:
```
data_Ho2HfIr3
_cell_length_a 4.743
_cell_length_b 4.743
_cell_length_c 5.882
_cell_angle_alpha 90.00
_cell_angle_beta 90.00
_cell_angle_gamma 120.00
_symmetry_space_group_name_H-M 'P 1'
_symmetry_Int_Tables_number 1
loop_
_symmetry_equiv_pos_as_xyz
'x,y,z'
loop_
_atom_site_label
_atom_site_type_symbol
_atom_site_fract_x
_atom_site_fract_y
_atom_site_fract_z
Ho1 Ho 0.333 0.667 0.163
Ho2 Ho 0.667 0.333 0.837
Hf1 Hf 0.000 0.000 0.500
Ir1 Ir 0.000 0.000 0.000
Ir2 Ir 0.333 0.667 0.644
Ir3 Ir 0.667 0.333 0.356
```

Most intense lines, 2θ from 15° to 90°, by intensity:
| d/Å | 2θ/deg | I/Imax |
| --- | --- | --- |
| 2.372 | 37.94 | 100 |
| 2.391 | 37.61 | 100 |
| 1.373 | 68.31 | 35 |
| 1.684 | 54.49 | 35 |
| 1.369 | 68.53 | 18 |
| 1.384 | 67.67 | 18 |
| 1.186 | 81.10 | 11 |
| 1.196 | 80.29 | 11 |
| 1.846 | 49.36 | 1 |
| 1.769 | 51.66 | 1 |

***

12.
Starting from a crystal structure in Alexandria, relaxed with GGA-PBE, the powder XRD pattern of Er5Sn was calculated for Cu Kα, 1.54184 Å.

Cell and atoms:
```
data_Er5Sn
_cell_length_a 4.796
_cell_length_b 14.749
_cell_length_c 4.828
_cell_angle_alpha 90.00
_cell_angle_beta 90.00
_cell_angle_gamma 90.00
_symmetry_space_group_name_H-M 'P 1'
_symmetry_Int_Tables_number 1
loop_
_symmetry_equiv_pos_as_xyz
'x,y,z'
loop_
_atom_site_label
_atom_site_type_symbol
_atom_site_fract_x
_atom_site_fract_y
_atom_site_fract_z
Er1 Er 0.000 0.000 0.000
Er2 Er 0.000 0.162 0.500
Er3 Er 0.000 0.332 0.000
Er4 Er 0.000 0.668 0.000
Er5 Er 0.000 0.838 0.500
Er6 Er 0.500 0.168 0.000
Er7 Er 0.500 0.338 0.500
Er8 Er 0.500 0.500 0.000
Er9 Er 0.500 0.662 0.500
Er10 Er 0.500 0.832 0.000
Sn1 Sn 0.000 0.500 0.500
Sn2 Sn 0.500 0.000 0.500
```

Most intense lines, 2θ from 15° to 90°, by intensity:
| d/Å | 2θ/deg | I/Imax |
| --- | --- | --- |
| 2.798 | 31.99 | 100 |
| 2.458 | 36.55 | 17 |
| 2.414 | 37.25 | 17 |
| 2.398 | 37.50 | 16 |
| 1.476 | 62.95 | 14 |
| 1.457 | 63.88 | 14 |
| 1.450 | 64.23 | 14 |
| 1.399 | 66.88 | 12 |
| 1.722 | 53.18 | 12 |
| 1.717 | 53.37 | 12 |

***

13.
Starting from a crystal structure in Alexandria, relaxed with GGA-PBE, the powder XRD pattern of Sr2DyScS4 was calculated for Cu Kα, 1.54184 Å.

Cell and atoms:
```
data_Sr2DyScS4
_cell_length_a 6.881
_cell_length_b 3.985
_cell_length_c 7.089
_cell_angle_alpha 90.00
_cell_angle_beta 108.97
_cell_angle_gamma 90.00
_symmetry_space_group_name_H-M 'P 1'
_symmetry_Int_Tables_number 1
loop_
_symmetry_equiv_pos_as_xyz
'x,y,z'
loop_
_atom_site_label
_atom_site_type_symbol
_atom_site_fract_x
_atom_site_fract_y
_atom_site_fract_z
Sr1 Sr 0.000 0.000 0.000
Sr2 Sr 0.500 0.500 0.000
Dy1 Dy 0.000 0.500 0.500
Sc1 Sc 0.500 0.000 0.500
S1 S 0.249 0.000 0.725
S2 S 0.266 0.500 0.280
S3 S 0.734 0.500 0.720
S4 S 0.751 0.000 0.275
```

Most intense lines, 2θ from 15° to 90°, by intensity:
| d/Å | 2θ/deg | I/Imax |
| --- | --- | --- |
| 2.842 | 31.47 | 100 |
| 2.031 | 44.62 | 35 |
| 3.260 | 27.36 | 33 |
| 1.988 | 45.64 | 23 |
| 3.352 | 26.59 | 12 |
| 1.631 | 56.40 | 12 |
| 1.992 | 45.53 | 12 |
| 1.421 | 65.70 | 11 |
| 1.260 | 75.45 | 10 |
| 1.282 | 73.90 | 10 |

***

14.
Starting from a crystal structure in Alexandria, relaxed with GGA-PBE, the powder XRD pattern of Ho3CoHg was calculated for Cu Kα, 1.54184 Å.

Cell and atoms:
```
data_Ho3CoHg
_cell_length_a 5.486
_cell_length_b 6.452
_cell_length_c 8.219
_cell_angle_alpha 69.91
_cell_angle_beta 77.74
_cell_angle_gamma 65.62
_symmetry_space_group_name_H-M 'P 1'
_symmetry_Int_Tables_number 1
loop_
_symmetry_equiv_pos_as_xyz
'x,y,z'
loop_
_atom_site_label
_atom_site_type_symbol
_atom_site_fract_x
_atom_site_fract_y
_atom_site_fract_z
Ho1 Ho 0.035 0.162 0.119
Ho2 Ho 0.363 0.183 0.689
Ho3 Ho 0.371 0.465 0.223
Ho4 Ho 0.629 0.535 0.777
Ho5 Ho 0.637 0.817 0.311
Ho6 Ho 0.965 0.838 0.881
Co1 Co 0.442 0.837 0.980
Co2 Co 0.558 0.163 0.020
Hg1 Hg 0.111 0.736 0.519
Hg2 Hg 0.889 0.264 0.481
```

Most intense lines, 2θ from 15° to 90°, by intensity:
| d/Å | 2θ/deg | I/Imax |
| --- | --- | --- |
| 2.668 | 33.59 | 100 |
| 2.721 | 32.91 | 91 |
| 2.929 | 30.52 | 91 |
| 2.628 | 34.12 | 82 |
| 2.838 | 31.53 | 69 |
| 2.489 | 36.09 | 66 |
| 2.818 | 31.75 | 52 |
| 1.969 | 46.09 | 49 |
| 2.599 | 34.51 | 34 |
| 2.965 | 30.14 | 30 |